Diffraction record for Sr2InGa3Ir4. The powder X-ray diffraction pattern is calculated, not measured: it uses a DFT-relaxed cell (PBE, Alexandria) and a wavelength of 1.5418 Å.
Kinematic intensities with the Lorentz-polarization factor, no thermal factor.

```
data_Sr2InGa3Ir4
_chemical_formula_sum 'Sr2 In1 Ga3 Ir4'
_symmetry_space_group_name_H-M 'P -4 m 2'
_symmetry_Int_Tables_number 115
_symmetry_space_group_name_Hall 'P -4 -2'
_cell_length_a 4.383
_cell_length_b 4.383
_cell_length_c 10.583
_cell_angle_alpha 90.00
_cell_angle_beta 90.00
_cell_angle_gamma 90.00
loop_
_atom_site_label
_atom_site_fract_x
_atom_site_fract_y
_atom_site_fract_z
Sr1 0.000 0.500 0.234
In1 0.000 0.000 0.500
Ga1 0.000 0.500 0.881
Ga2 0.500 0.500 0.500
Ir1 0.000 0.000 0.000
Ir2 0.000 0.500 0.640
Ir3 0.500 0.500 0.000
```

Main lines, in order of rising 2θ (2θ = 10–90°):
index  2θ/deg  intensity
0 0 2  16.8  23.4
1 0 1  22.0  21.4
1 0 3  32.6  36.8
1 1 2  33.5  100.0
2 0 0  41.2  71.2
1 1 4  45.1  55.8
1 0 5  47.7  20.8
2 2 0  59.7  23.9
3 1 2  70.2  23.4
3 1 4  77.8  22.3